LiMo2AsO9: computed PXRD pattern (Cu Kα X-rays), based on a structure optimized by DFT (GGA+U).
Lines closer than 0.1° are merged.

Crystal structure
```
data_LiMo2AsO9
_cell_length_a 5.532
_cell_length_b 7.735
_cell_length_c 9.109
_cell_angle_alpha 90.00
_cell_angle_beta 90.00
_cell_angle_gamma 90.00
_space_group_name_H-M_alt 'P m m n'
_space_group_IT_number 59
loop_
_space_group_symop_operation_xyz
'x,y,z'
'-x,-y,-z'
'-x+1/2,-y+1/2,z'
'x+1/2,y+1/2,-z'
'x+1/2,-y,-z'
'-x+1/2,y,z'
'-x,y+1/2,-z'
'x,-y+1/2,z'
loop_
_atom_site_label
_atom_site_fract_x
_atom_site_fract_y
_atom_site_fract_z
Li1 0.250 0.250 0.107
Mo1 0.250 0.041 0.759
As1 0.250 0.750 0.458
O1 0.005 0.567 0.833
O2 0.008 0.250 0.645
O3 0.250 0.250 0.881
O4 0.250 0.561 0.559
```

The 10 most intense peaks (2θ from 10° to 90°), low angle first:
d (Å), 2θ/deg, Rel. int., h k l
5.896, 15.03, 24, 0 1 1
4.728, 18.77, 100, 1 0 1
4.554, 19.49, 23, 0 0 2
4.034, 22.03, 38, 1 1 1
3.201, 27.87, 28, 1 1 2
2.993, 29.85, 57, 1 2 1
2.948, 30.32, 41, 0 2 2
2.662, 33.67, 24, 1 0 3
2.017, 44.94, 21, 2 2 2
1.964, 46.21, 18, 0 3 3